Starting from the GGA-PBE geometry in Alexandria, the XRD peak list of PuFePH2 was simulated for copper Kα.

The 12 most intense peaks (10 to 80 degrees two-theta), in order of falling intensity:
| 2theta | Rel. int. |
| --- | --- |
| 30.08 | 100 |
| 39.43 | 45 |
| 37.10 | 39 |
| 17.53 | 31 |
| 62.55 | 29 |
| 35.77 | 29 |
| 39.18 | 27 |
| 61.99 | 20 |
| 41.55 | 19 |
| 32.43 | 19 |
| 56.40 | 18 |
| 48.42 | 16 |

```
PuFePH2
1.0
1.8799 -5.0582 0.0000
1.8799 5.0582 0.0000
0.0000 0.0000 5.5214
Pu Fe P H
2 2 2 4
Cartesian
1.8799 2.9152 4.1411
1.8799 -2.9152 1.3804
1.8799 0.0000 0.0000
1.8799 0.0000 2.7607
1.8799 4.3770 1.3804
1.8799 -4.3770 4.1411
1.8799 1.5779 0.3718
1.8799 1.5779 2.3889
1.8799 -1.5779 3.1325
1.8799 -1.5779 5.1496
```